Si2PtO4: calculated X-ray powder pattern (λ = 1.5418 Å (Cu Kα)), based on a DFT-relaxed cell (PBE, OQMD).
Neutral-atom scattering factors, no anomalous dispersion.

Cell and atoms:
a b c (Å): 8.352 8.352 8.352
angles (deg): 90.00 90.00 90.00
Space group Fd-3m (No. 227, origin choice 2)
One atom of each set of equivalent atoms:
Si  0.000  0.000  0.000 (multiplicity 16)
Pt  0.125  0.125  0.625 (multiplicity 8)
O  0.026  0.026  0.224 (multiplicity 32)

Largest 8 diffraction maxima, low angle first, 10 to 80 degrees two-theta:
Position (°2θ)  d/Å  I/Imax
18.40  4.822  42
30.27  2.953  100
35.65  2.518  82
47.45  1.916  24
53.77  1.705  36
57.32  1.607  35
62.95  1.476  25
71.43  1.321  14